(1)
WSe2I: simulated powder diffractogram (copper Kα), based on the GGA-PBE geometry in Alexandria.
Kinematic intensities with the Lorentz-polarization factor, no thermal factor.

Largest 6 diffraction maxima, in order of rising 2θ, 2θ = 10–80°:
| Position (°2θ) | Rel. int. |
| --- | --- |
| 14.38 | 100 |
| 31.53 | 34 |
| 35.28 | 23 |
| 36.97 | 45 |
| 39.54 | 20 |
| 50.46 | 17 |

Crystal structure
Cell: 6.0209 3.2727 12.4454 Å, 90.00 98.20 90.00°
Fractional coordinates of all 8 atoms:
W1 0.1912 0.0000 0.0063
W2 0.8088 0.5000 0.9937
Se1 0.1301 0.5000 0.1541
Se2 0.3921 0.5000 0.8860
Se3 0.6079 0.0000 0.1140
Se4 0.8699 0.0000 0.8459
I1 0.2510 0.4800 0.5037
I2 0.7490 0.9800 0.4963

(2)
NdTh4Rh4: simulated powder diffractogram (copper Kα), based on the GGA-PBE geometry in Alexandria.
Kinematic intensities with the Lorentz-polarization factor, no thermal factor.

Largest 6 diffraction maxima, in order of rising 2θ, 2θ = 10–80°:
| Position (°2θ) | Rel. int. |
| --- | --- |
| 26.66 | 49 |
| 30.72 | 100 |
| 31.21 | 48 |
| 44.00 | 38 |
| 44.36 | 74 |
| 54.93 | 40 |

Crystal structure
Cell: 7.1109 7.1109 7.1109 Å, 99.35 99.35 132.46°
Fractional coordinates of all 9 atoms:
Nd1 0.0000 0.0000 0.0000
Th1 0.1920 0.6007 0.7926
Th2 0.3993 0.1920 0.5913
Th3 0.6007 0.8080 0.4087
Th4 0.8080 0.3993 0.2074
Rh1 0.1076 0.3014 0.4090
Rh2 0.3014 0.8924 0.1938
Rh3 0.6986 0.1076 0.8062
Rh4 0.8924 0.6986 0.5910

(3)
Eu2CuTe2S2O14: simulated powder diffractogram (copper Kα), based on the GGA-PBE geometry in Alexandria.
Kinematic intensities with the Lorentz-polarization factor, no thermal factor.

Largest 6 diffraction maxima, in order of rising 2θ, 2θ = 10–80°:
| Position (°2θ) | Rel. int. |
| --- | --- |
| 12.64 | 63 |
| 24.02 | 78 |
| 24.34 | 74 |
| 25.33 | 100 |
| 26.73 | 51 |
| 29.56 | 87 |

Crystal structure
Cell: 5.1803 8.0654 8.3951 Å, 117.86 100.33 94.53°
Fractional coordinates of all 21 atoms:
Eu1 0.0636 0.2343 0.4861
Eu2 0.9364 0.7657 0.5139
Cu1 0.0000 0.0000 0.0000
Te1 0.4941 0.1298 0.8594
Te2 0.5059 0.8702 0.1406
S1 0.2705 0.5006 0.2419
S2 0.7295 0.4994 0.7581
O1 0.1480 0.3280 0.0616
O2 0.1756 0.6760 0.2539
O3 0.1860 0.4821 0.3966
O4 0.2539 0.0429 0.2183
O5 0.2568 0.9245 0.8612
O6 0.2727 0.0533 0.6221
O7 0.4348 0.4701 0.7291
O8 0.5652 0.5299 0.2709
O9 0.7273 0.9467 0.3779
O10 0.7432 0.0755 0.1388
O11 0.7461 0.9571 0.7817
O12 0.8140 0.5179 0.6034
O13 0.8244 0.3240 0.7461
O14 0.8520 0.6720 0.9384

(4)
KWBr6: simulated powder diffractogram (copper Kα), based on the GGA-PBE geometry in Alexandria.
Kinematic intensities with the Lorentz-polarization factor, no thermal factor.

Largest 6 diffraction maxima, in order of rising 2θ, 2θ = 10–80°:
| Position (°2θ) | Rel. int. |
| --- | --- |
| 13.68 | 100 |
| 15.50 | 43 |
| 16.71 | 50 |
| 21.22 | 56 |
| 31.80 | 63 |
| 32.98 | 51 |

Crystal structure
Cell: 8.4103 11.4368 6.5790 Å, 90.00 110.93 90.00°
Fractional coordinates of all 16 atoms:
K1 0.0000 0.0000 0.0000
K2 0.5000 0.5000 0.0000
W1 0.0000 0.5000 0.5000
W2 0.5000 0.0000 0.5000
Br1 0.1196 0.3447 0.7830
Br2 0.1196 0.6553 0.7830
Br3 0.2284 0.0000 0.5782
Br4 0.2716 0.5000 0.4218
Br5 0.3804 0.1553 0.2170
Br6 0.3804 0.8447 0.2170
Br7 0.6196 0.1553 0.7830
Br8 0.6196 0.8447 0.7830
Br9 0.7284 0.5000 0.5782
Br10 0.7716 0.0000 0.4218
Br11 0.8804 0.3447 0.2170
Br12 0.8804 0.6553 0.2170

(5)
Cs3PtBr6: simulated powder diffractogram (copper Kα), based on the GGA-PBE geometry in Alexandria.
Kinematic intensities with the Lorentz-polarization factor, no thermal factor.

Largest 6 diffraction maxima, in order of rising 2θ, 2θ = 10–80°:
| Position (°2θ) | Rel. int. |
| --- | --- |
| 20.86 | 98 |
| 21.45 | 48 |
| 25.87 | 47 |
| 28.79 | 63 |
| 30.52 | 100 |
| 42.45 | 75 |

Crystal structure
Cell: 8.5314 8.5314 8.5314 Å, 121.91 121.91 86.73°
Fractional coordinates of all 10 atoms:
Cs1 0.0000 0.0000 0.0000
Cs2 0.2500 0.7500 0.5000
Cs3 0.7500 0.2500 0.5000
Pt1 0.5000 0.5000 0.0000
Br1 0.2740 0.2740 0.0000
Br2 0.2872 0.2872 0.5743
Br3 0.2872 0.7128 0.0000
Br4 0.7128 0.2872 0.0000
Br5 0.7128 0.7128 0.4257
Br6 0.7260 0.7260 0.0000

(6)
Sc5Si2Sb2: simulated powder diffractogram (copper Kα), based on the GGA-PBE geometry in Alexandria.
Kinematic intensities with the Lorentz-polarization factor, no thermal factor.

Largest 6 diffraction maxima, in order of rising 2θ, 2θ = 10–80°:
| Position (°2θ) | Rel. int. |
| --- | --- |
| 24.18 | 63 |
| 27.26 | 70 |
| 34.46 | 76 |
| 35.02 | 81 |
| 35.87 | 100 |
| 39.21 | 77 |

Crystal structure
Cell: 8.0312 8.0312 7.3662 Å, 90.00 90.00 54.51°
Fractional coordinates of all 18 atoms:
Sc1 0.0000 0.0000 0.0000
Sc2 0.0431 0.7090 0.6679
Sc3 0.2090 0.5431 0.1679
Sc4 0.2910 0.9569 0.6679
Sc5 0.4569 0.7910 0.1679
Sc6 0.5000 0.5000 0.5000
Sc7 0.5431 0.2090 0.8321
Sc8 0.7090 0.0431 0.3321
Sc9 0.7910 0.4569 0.8321
Sc10 0.9569 0.2910 0.3321
Si1 0.1295 0.8705 0.3720
Si2 0.3705 0.6295 0.8720
Si3 0.6295 0.3705 0.1280
Si4 0.8705 0.1295 0.6280
Sb1 0.2072 0.2072 0.0000
Sb2 0.2928 0.2928 0.5000
Sb3 0.7072 0.7072 0.5000
Sb4 0.7928 0.7928 0.0000

(7)
RbAlZn2Pt: simulated powder diffractogram (copper Kα), based on the GGA-PBE geometry in Alexandria.
Kinematic intensities with the Lorentz-polarization factor, no thermal factor.

Largest 6 diffraction maxima, in order of rising 2θ, 2θ = 10–80°:
| Position (°2θ) | Rel. int. |
| --- | --- |
| 17.61 | 34 |
| 18.46 | 41 |
| 25.62 | 100 |
| 35.65 | 68 |
| 44.42 | 46 |
| 52.65 | 44 |

Crystal structure
Cell: 5.0367 5.0367 4.8052 Å, 90.00 90.00 90.00°
Fractional coordinates of all 5 atoms:
Rb1 0.0000 0.0000 0.0000
Al1 0.5000 0.5000 0.0000
Zn1 0.0000 0.5000 0.5000
Zn2 0.5000 0.0000 0.5000
Pt1 0.5000 0.5000 0.5000

(8)
Pu3GaGe3: simulated powder diffractogram (copper Kα), based on the GGA-PBE geometry in Alexandria.
Kinematic intensities with the Lorentz-polarization factor, no thermal factor.

Largest 6 diffraction maxima, in order of rising 2θ, 2θ = 10–80°:
| Position (°2θ) | Rel. int. |
| --- | --- |
| 11.26 | 43 |
| 22.64 | 68 |
| 30.09 | 36 |
| 38.32 | 100 |
| 41.75 | 31 |
| 48.01 | 28 |

Crystal structure
Cell: 9.0718 9.0718 3.8388 Å, 90.00 90.00 120.00°
Fractional coordinates of all 14 atoms:
Pu1 0.0553 0.5830 0.2500
Pu2 0.4170 0.4723 0.2500
Pu3 0.4723 0.0553 0.7500
Pu4 0.5277 0.9447 0.2500
Pu5 0.5830 0.5277 0.7500
Pu6 0.9447 0.4170 0.7500
Ga1 0.3333 0.6667 0.7500
Ga2 0.6667 0.3333 0.2500
Ge1 0.0538 0.2460 0.2500
Ge2 0.1922 0.9462 0.2500
Ge3 0.2460 0.1922 0.7500
Ge4 0.7540 0.8078 0.2500
Ge5 0.8078 0.0538 0.7500
Ge6 0.9462 0.7540 0.7500